Li3Ni3O3F5: theoretical XRD peak list (λ = 1.5418 Å (Cu Kα)), based on DFT lattice parameters and positions (GGA+U).
Lines closer than 0.1° are merged.

Peak list (12 most intense, 15° ≤ 2θ ≤ 90°, by angle)
d 4.871, intensity 100.0
d 4.771, intensity 21.6
d 2.982, intensity 10.8
d 2.596, intensity 15.6
d 2.499, intensity 9.4
d 2.459, intensity 29.5
d 2.176, intensity 27.1
d 2.045, intensity 43.4
d 1.923, intensity 10.2
d 1.586, intensity 11.5
d 1.492, intensity 14.5
d 1.488, intensity 15.0

Structural model:
a b c (Å): 5.9632 5.9632 5.8657
angles (deg): 119.25 119.25 57.15
Fractional positions:
1 Li 0.0000 0.0000 0.0000
2 Li 0.3558 0.3558 0.0984
3 Li 0.6184 0.6184 0.8892
4 Ni 0.4865 0.9931 0.4835
5 Ni 0.9892 0.9892 0.4867
6 Ni 0.9931 0.4865 0.4835
7 O 0.2211 0.2211 0.6772
8 O 0.2327 0.2327 0.2657
9 O 0.7588 0.7588 0.2919
10 F 0.2234 0.7431 0.7404
11 F 0.2410 0.7494 0.2404
12 F 0.7431 0.2234 0.7404
13 F 0.7441 0.7441 0.7222
14 F 0.7494 0.2410 0.2404